Record 1
AgPb4S5: simulated X-ray powder pattern (Cu Kα X-rays), based on a GGA-PBE-relaxed structure.
Kinematic intensities with the Lorentz-polarization factor, no thermal factor.

Structure:
```
data_AgPb4S5
_space_group_name_H-M_alt 'I 4/m m m'
_space_group_IT_number 139
_space_group_name_Hall '-I 4 2'
_cell_length_a 4.159
_cell_length_b 4.159
_cell_length_c 29.197
_cell_angle_alpha 90.00
_cell_angle_beta 90.00
_cell_angle_gamma 90.00
loop_
_atom_site_label
_atom_site_fract_x
_atom_site_fract_y
_atom_site_fract_z
Ag1 0.000 0.000 0.000
Pb1 0.000 0.000 0.197
Pb2 0.000 0.000 0.406
S1 0.000 0.000 0.095
S2 0.000 0.000 0.299
S3 0.000 0.000 0.500
```

Peak list (10 most intense, 2θ = 5–70°, low angle first)
two_theta, Rel. int., h k l
26.31, 100, 1 0 5
30.39, 76, 1 1 0
30.62, 35, 0 0 10
43.52, 28, 2 0 0
43.69, 52, 1 1 10
51.57, 35, 2 1 5
51.86, 14, 1 0 15
54.15, 28, 2 0 10
63.24, 9, 2 2 0
69.96, 12, 2 1 15

=====

Record 2
AgSb3PbS6: simulated X-ray powder pattern (Cu Kα X-rays), based on a GGA-PBE-relaxed structure.
Kinematic intensities with the Lorentz-polarization factor, no thermal factor.

Structure:
```
data_AgSb3PbS6
_space_group_name_H-M_alt 'P 1 c 1'
_space_group_IT_number 7
_space_group_name_Hall 'P -2yc'
_cell_length_a 12.413
_cell_length_b 4.495
_cell_length_c 14.112
_cell_angle_alpha 90.00
_cell_angle_beta 124.32
_cell_angle_gamma 90.00
loop_
_atom_site_label
_atom_site_fract_x
_atom_site_fract_y
_atom_site_fract_z
Ag1 0.000 0.147 0.000
Sb1 0.472 0.307 0.795
Sb2 0.575 0.261 0.113
Sb3 0.866 0.278 0.689
Pb1 0.214 0.124 0.354
S1 0.066 0.342 0.882
S2 0.250 0.351 0.738
S3 0.400 0.074 0.135
S4 0.546 0.076 0.459
S5 0.770 0.030 0.280
S6 0.964 0.147 0.148
```

Peak list (10 most intense, 2θ = 5–70°, low angle first)
two_theta, Rel. int., h k l
12.55, 32, 1 0 -2
21.37, 35, 1 0 2
24.55, 100, 2 1 -1
26.74, 23, 3 0 -4
27.79, 49, 1 1 -3
28.97, 21, 2 0 2
29.10, 27, 4 0 -2
30.44, 29, 0 1 3
37.19, 23, 3 0 2
40.90, 22, 0 2 1

=====

Record 3
AgSb3PbS6: simulated X-ray powder pattern (Cu Kα X-rays), based on a GGA-PBE-relaxed structure.
Kinematic intensities with the Lorentz-polarization factor, no thermal factor.

Structure:
```
data_AgSb3PbS6
_space_group_name_H-M_alt 'C m c 21'
_space_group_IT_number 36
_space_group_name_Hall 'C 2c -2'
_cell_length_a 3.998
_cell_length_b 13.769
_cell_length_c 19.678
_cell_angle_alpha 90.00
_cell_angle_beta 90.00
_cell_angle_gamma 90.00
loop_
_atom_site_label
_atom_site_fract_x
_atom_site_fract_y
_atom_site_fract_z
Ag1 0.000 0.059 0.000
Sb1 0.000 0.112 0.777
Sb2 0.000 0.352 0.080
Sb3 0.000 0.380 0.687
Pb1 0.000 0.179 0.389
S1 0.000 0.019 0.132
S2 0.000 0.170 0.896
S3 0.000 0.258 0.241
S4 0.000 0.259 0.545
S5 0.000 0.440 0.972
S6 0.000 0.470 0.800
```

Peak list (10 most intense, 2θ = 5–70°, low angle first)
two_theta, Rel. int., h k l
24.89, 33, 1 1 2
26.08, 96, 0 2 5
26.91, 61, 1 1 3
29.98, 55, 1 3 1
30.18, 35, 0 2 6
31.02, 100, 1 3 2
39.74, 29, 1 1 7
43.70, 37, 1 1 8
43.96, 31, 1 5 4
45.36, 33, 2 0 0

=====

Record 4
AgSbPb2Se4: simulated X-ray powder pattern (Cu Kα X-rays), based on a GGA-PBE-relaxed structure.
Kinematic intensities with the Lorentz-polarization factor, no thermal factor.

Structure:
```
data_AgSbPb2Se4
_space_group_name_H-M_alt 'P 1 2/m 1'
_space_group_IT_number 10
_space_group_name_Hall '-P 2y'
_cell_length_a 7.293
_cell_length_b 4.263
_cell_length_c 7.314
_cell_angle_alpha 90.00
_cell_angle_beta 109.13
_cell_angle_gamma 90.00
loop_
_atom_site_label
_atom_site_fract_x
_atom_site_fract_y
_atom_site_fract_z
Ag1 0.000 0.000 0.000
Sb1 0.000 0.500 0.500
Pb1 0.500 0.000 0.500
Pb2 0.500 0.500 0.000
Se1 0.227 0.000 0.747
Se2 0.228 0.500 0.243
```

Peak list (10 most intense, 2θ = 5–70°, low angle first)
two_theta, Rel. int., h k l
25.73, 24, 1 1 -1
29.74, 100, 1 1 1
30.03, 48, 2 0 -2
42.41, 19, 0 2 0
42.72, 56, 1 1 -3
42.82, 36, 3 1 -1
52.83, 20, 2 2 -2
53.01, 10, 0 0 4
53.17, 9, 4 0 0
61.76, 12, 2 2 2

=====

Record 5
AgSbTe16Pb14: simulated X-ray powder pattern (Cu Kα X-rays), based on a GGA-PBE-relaxed structure.
Kinematic intensities with the Lorentz-polarization factor, no thermal factor.

Structure:
```
data_AgSbTe16Pb14
_space_group_name_H-M_alt 'I 4/m m m'
_space_group_IT_number 139
_space_group_name_Hall '-I 4 2'
_cell_length_a 9.235
_cell_length_b 9.235
_cell_length_c 25.900
_cell_angle_alpha 90.00
_cell_angle_beta 90.00
_cell_angle_gamma 90.00
loop_
_atom_site_label
_atom_site_fract_x
_atom_site_fract_y
_atom_site_fract_z
Ag1 0.000 0.000 0.000
Sb1 0.000 0.000 0.500
Te1 0.000 0.000 0.113
Te2 0.000 0.000 0.378
Te3 0.000 0.500 0.125
Te4 0.242 0.242 0.500
Te5 0.250 0.250 0.250
Pb1 0.000 0.000 0.246
Pb2 0.000 0.500 0.000
Pb3 0.000 0.500 0.250
Pb4 0.249 0.249 0.124
```

Peak list (10 most intense, 2θ = 5–70°, low angle first)
two_theta, Rel. int., h k l
23.67, 13, 2 0 4
27.31, 100, 2 2 0
27.55, 48, 0 0 8
39.01, 39, 4 0 0
39.19, 76, 2 2 8
48.42, 41, 4 0 8
56.36, 13, 4 4 0
63.73, 19, 6 2 0
63.86, 18, 4 4 8
64.22, 17, 2 2 16

=====

Record 6
Sc3Ag3Pb4: simulated X-ray powder pattern (Cu Kα X-rays), based on a GGA-PBE-relaxed structure.
Kinematic intensities with the Lorentz-polarization factor, no thermal factor.

Structure:
```
data_Sc3Ag3Pb4
_space_group_name_H-M_alt 'I -4 3 d'
_space_group_IT_number 220
_space_group_name_Hall 'I -4bd 2c 3'
_cell_length_a 9.888
_cell_length_b 9.888
_cell_length_c 9.888
_cell_angle_alpha 90.00
_cell_angle_beta 90.00
_cell_angle_gamma 90.00
loop_
_atom_site_label
_atom_site_fract_x
_atom_site_fract_y
_atom_site_fract_z
Sc1 0.000 0.250 0.875
Ag1 0.000 0.250 0.375
Pb1 0.104 0.396 0.604
```

Peak list (10 most intense, 2θ = 5–70°, low angle first)
two_theta, Rel. int., h k l
22.02, 42, 2 1 1
33.92, 100, 3 2 1
36.34, 11, 4 0 0
40.81, 10, 4 2 0
44.91, 12, 4 2 2
46.85, 18, 5 1 0
50.56, 21, 5 2 1
63.85, 14, 6 3 1
65.39, 8, 4 4 4
66.91, 9, 7 1 0

=====

Record 7
TcAg2PbSe: simulated X-ray powder pattern (Cu Kα X-rays), based on a GGA-PBE-relaxed structure.
Kinematic intensities with the Lorentz-polarization factor, no thermal factor.

Structure:
```
data_TcAg2PbSe
_space_group_name_H-M_alt 'P 4/m m m'
_space_group_IT_number 123
_space_group_name_Hall '-P 4 2'
_cell_length_a 5.258
_cell_length_b 5.258
_cell_length_c 4.567
_cell_angle_alpha 90.00
_cell_angle_beta 90.00
_cell_angle_gamma 90.00
loop_
_atom_site_label
_atom_site_fract_x
_atom_site_fract_y
_atom_site_fract_z
Tc1 0.000 0.000 0.000
Ag1 0.000 0.500 0.000
Pb1 0.500 0.500 0.500
Se1 0.000 0.000 0.500
```

Peak list (10 most intense, 2θ = 5–70°, low angle first)
two_theta, Rel. int., h k l
23.94, 14, 1 1 0
25.84, 48, 1 0 1
31.02, 100, 1 1 1
34.11, 87, 2 0 0
39.46, 29, 0 0 2
43.28, 25, 2 1 1
49.00, 31, 2 2 0
53.13, 48, 2 0 2
59.13, 31, 3 1 1
64.65, 26, 2 2 2

=====

Record 8
Ag2TePbSe4: simulated X-ray powder pattern (Cu Kα X-rays), based on a GGA-PBE-relaxed structure.
Kinematic intensities with the Lorentz-polarization factor, no thermal factor.

Structure:
```
data_Ag2TePbSe4
_space_group_name_H-M_alt 'C 1 2/c 1'
_space_group_IT_number 15
_space_group_name_Hall '-C 2yc'
_cell_length_a 11.646
_cell_length_b 11.671
_cell_length_c 8.230
_cell_angle_alpha 90.00
_cell_angle_beta 134.93
_cell_angle_gamma 90.00
loop_
_atom_site_label
_atom_site_fract_x
_atom_site_fract_y
_atom_site_fract_z
Ag1 0.000 0.000 0.000
Ag2 0.250 0.250 0.000
Te1 0.000 0.500 0.000
Pb1 0.250 0.250 0.500
Se1 0.000 0.251 0.518
Se2 0.246 0.009 0.997
```

Peak list (10 most intense, 2θ = 5–70°, low angle first)
two_theta, Rel. int., h k l
13.16, 2, 1 1 -1
25.33, 4, 1 3 -1
26.49, 14, 2 2 -2
30.68, 100, 0 4 0
33.51, 4, 1 3 1
43.94, 73, 4 0 0
52.03, 6, 2 2 -4
54.54, 25, 4 4 0
63.80, 4, 0 8 0
63.93, 8, 0 0 4

=====

Record 9
YAgPbSe3: simulated X-ray powder pattern (Cu Kα X-rays), based on a GGA-PBE-relaxed structure.
Kinematic intensities with the Lorentz-polarization factor, no thermal factor.

Structure:
```
data_YAgPbSe3
_space_group_name_H-M_alt 'P 1 21/m 1'
_space_group_IT_number 11
_space_group_name_Hall '-P 2yb'
_cell_length_a 8.477
_cell_length_b 4.159
_cell_length_c 9.290
_cell_angle_alpha 90.00
_cell_angle_beta 103.73
_cell_angle_gamma 90.00
loop_
_atom_site_label
_atom_site_fract_x
_atom_site_fract_y
_atom_site_fract_z
Y1 0.175 0.250 0.168
Ag1 0.410 0.750 0.414
Pb1 0.305 0.750 0.759
Se1 0.066 0.250 0.846
Se2 0.240 0.250 0.488
Se3 0.399 0.750 0.125
```

Peak list (10 most intense, 2θ = 5–70°, low angle first)
two_theta, Rel. int., h k l
10.74, 21, 1 0 0
16.20, 19, 1 0 1
29.48, 22, 1 1 -2
29.70, 19, 0 0 3
30.53, 100, 2 1 0
33.76, 17, 2 1 1
36.38, 22, 1 1 -3
36.88, 27, 0 1 3
42.65, 22, 4 0 -1
43.52, 25, 0 2 0

=====

Record 10
Ag14SnPb: simulated X-ray powder pattern (Cu Kα X-rays), based on a GGA-PBE-relaxed structure.
Kinematic intensities with the Lorentz-polarization factor, no thermal factor.

Structure:
```
data_Ag14SnPb
_space_group_name_H-M_alt 'P 4/m m m'
_space_group_IT_number 123
_space_group_name_Hall '-P 4 2'
_cell_length_a 6.085
_cell_length_b 6.085
_cell_length_c 8.188
_cell_angle_alpha 90.00
_cell_angle_beta 90.00
_cell_angle_gamma 90.00
loop_
_atom_site_label
_atom_site_fract_x
_atom_site_fract_y
_atom_site_fract_z
Ag1 0.000 0.000 0.000
Ag2 0.000 0.500 0.000
Ag3 0.000 0.500 0.500
Ag4 0.247 0.247 0.239
Ag5 0.500 0.500 0.000
Sn1 0.000 0.000 0.500
Pb1 0.500 0.500 0.500
```

Peak list (10 most intense, 2θ = 5–70°, low angle first)
two_theta, Rel. int., h k l
18.16, 1, 1 0 1
23.36, 1, 1 1 1
31.37, 1, 2 0 1
36.81, 100, 2 0 2
42.00, 35, 2 2 0
44.25, 14, 0 0 4
54.30, 1, 2 2 3
60.90, 11, 4 0 0
62.64, 19, 2 2 4
64.64, 1, 2 0 5

=====

Record 11
AgSnPb3: simulated X-ray powder pattern (Cu Kα X-rays), based on a GGA-PBE-relaxed structure.
Kinematic intensities with the Lorentz-polarization factor, no thermal factor.

Structure:
```
data_AgSnPb3
_space_group_name_H-M_alt 'P 1 2/c 1'
_space_group_IT_number 13
_space_group_name_Hall '-P 2yc'
_cell_length_a 6.734
_cell_length_b 6.485
_cell_length_c 13.123
_cell_angle_alpha 90.00
_cell_angle_beta 91.59
_cell_angle_gamma 90.00
loop_
_atom_site_label
_atom_site_fract_x
_atom_site_fract_y
_atom_site_fract_z
Ag1 0.061 0.212 0.141
Sn1 0.297 0.011 0.800
Pb1 0.101 0.255 0.573
Pb2 0.272 0.494 0.795
Pb3 0.427 0.246 0.026
```

Peak list (10 most intense, 2θ = 5–70°, low angle first)
two_theta, Rel. int., h k l
29.49, 70, 2 0 -2
30.54, 48, 2 1 -1
30.65, 90, 1 0 4
30.76, 100, 0 2 2
33.74, 58, 1 2 2
38.55, 53, 2 2 0
39.05, 44, 1 1 -5
42.96, 31, 3 0 2
52.59, 25, 1 2 6
56.79, 26, 0 4 0

=====

Record 12
Sr3AgPb: simulated X-ray powder pattern (Cu Kα X-rays), based on a GGA-PBE-relaxed structure.
Kinematic intensities with the Lorentz-polarization factor, no thermal factor.

Structure:
```
data_Sr3AgPb
_space_group_name_H-M_alt 'C 2 2 2'
_space_group_IT_number 21
_space_group_name_Hall 'C 2 2'
_cell_length_a 11.128
_cell_length_b 16.559
_cell_length_c 4.376
_cell_angle_alpha 90.00
_cell_angle_beta 90.00
_cell_angle_gamma 90.00
loop_
_atom_site_label
_atom_site_fract_x
_atom_site_fract_y
_atom_site_fract_z
Sr1 0.000 0.162 0.000
Sr2 0.187 0.386 0.499
Ag1 0.250 0.250 0.999
Pb1 0.000 0.000 0.500
Pb2 0.000 0.500 0.000
```

Peak list (10 most intense, 2θ = 5–70°, low angle first)
two_theta, Rel. int., h k l
19.22, 71, 2 2 0
22.99, 22, 0 2 1
27.21, 100, 1 3 1
32.12, 72, 4 0 0
33.88, 42, 2 4 1
34.92, 27, 1 5 1
36.34, 47, 2 6 0
41.26, 26, 0 0 2
48.78, 27, 5 3 1
56.14, 27, 2 6 2